For Ac5Sb4I, a cell relaxed with GGA-PBE gives the theoretical XRD peak list in this record (λ = 1.5418 Å (Cu Kα)).
Lines closer than 0.1° are merged.

Peak list (8 most intense, 2θ from 5° to 70°, most intense first)
| d_spacing | Rel. int. |
| --- | --- |
| 3.388 | 100 |
| 2.397 | 52 |
| 1.956 | 28 |
| 2.394 | 26 |
| 1.517 | 24 |
| 1.384 | 17 |
| 3.912 | 15 |
| 1.513 | 13 |

Crystal structure
a = 12.6803 Å, b = 12.6803 Å, c = 6.7593 Å
α = 105.43°, β = 105.43°, γ = 21.82°
Element x y z (fractional)
Ac 0.0000 0.0000 0.0000
Ac 0.1988 0.1988 0.1987
Ac 0.3910 0.3910 0.3909
Ac 0.6090 0.6090 0.6091
Ac 0.8012 0.8012 0.8013
Sb 0.2017 0.2017 0.7016
Sb 0.4022 0.4022 0.9021
Sb 0.5978 0.5978 0.0979
Sb 0.7983 0.7983 0.2984
I 0.0000 0.0000 0.5000